The following is a computed X-ray powder pattern of Tb3Tm4Te8. It was derived from a cell relaxed with PBE, using λ = 1.5418 Å (Cu Kα).
Lines closer than 0.1° are merged.

Main lines, sorted by position (2θ from 10° to 90°):
d = 3.055 Å, I = 100.0
d = 2.160 Å, I = 75.7
d = 1.764 Å, I = 27.0
d = 1.527 Å, I = 12.6
d = 1.366 Å, I = 34.5
d = 1.247 Å, I = 25.5

Cell and atoms:
Lattice parameters (Å, degrees): 8.6377 8.6377 8.6393 119.98 119.98 90.02
Sites, in units of the cell vectors:
Tb 0.0000 0.0000 0.0000
Tb 0.0000 0.5000 0.0000
Tb 0.5000 0.0000 0.0000
Tm 0.0000 0.0000 0.5000
Tm 0.0000 0.5000 0.5000
Tm 0.5000 0.0000 0.5000
Tm 0.5000 0.5000 0.0000
Te 0.2520 0.7480 0.0000
Te 0.2540 0.7460 0.5000
Te 0.2558 0.2558 0.0077
Te 0.2561 0.2561 0.5039
Te 0.7439 0.7439 0.4961
Te 0.7442 0.7442 0.9923
Te 0.7460 0.2540 0.5000
Te 0.7480 0.2520 0.0000